This entry pairs a crystal structure of PrDyTm2Tl2 with its theoretical PXRD pattern. Radiation: Cu Kα (λ = 1.5418 Å). Structure: a structure optimized by DFT (PBE).
Kinematic intensities with the Lorentz-polarization factor, no thermal factor.

Atomic structure:
Cell lengths 5.1206, 10.0457, 6.7983 Å; angles 90.00, 90.00, 90.00 degrees
Space group Pmc2_1 (No. 26)
Unique sites:
Pr: 0.0000 0.0415 0.0000 [2 per cell]
Dy: 0.5000 0.1942 0.7249 [2 per cell]
Tm: 0.0000 0.3189 0.3808 [2 per cell]
Tm: 0.5000 0.4574 0.0948 [2 per cell]
Tl: 0.0000 0.3708 0.8415 [2 per cell]
Tl: 0.5000 0.1432 0.2631 [2 per cell]

Principal peaks in the range 2θ from 15° to 90°, low angle first:
| hkl | two_theta | Rel. int. |
| --- | --- | --- |
| 0 3 1 | 29.7 | 17 |
| 1 0 2 | 31.6 | 57 |
| 0 2 2 | 31.8 | 23 |
| 1 3 0 | 31.9 | 100 |
| 1 1 2 | 32.9 | 77 |
| 1 3 1 | 34.6 | 33 |
| 2 0 0 | 35.0 | 58 |
| 0 3 2 | 37.7 | 25 |
| 2 3 2 | 52.4 | 19 |
| 0 1 4 | 54.8 | 15 |
| 3 3 0 | 60.9 | 16 |
| 2 1 4 | 66.7 | 15 |

---

This entry pairs a crystal structure of PrDy2TmTl4 with its theoretical PXRD pattern. Radiation: Cu Kα (λ = 1.5418 Å). Structure: a structure optimized by DFT (PBE).
Kinematic intensities with the Lorentz-polarization factor, no thermal factor.

Atomic structure:
Cell lengths 5.4004, 5.4004, 26.6034 Å; angles 90.00, 90.00, 120.00 degrees
Space group R-3m (No. 166, hexagonal axes)
Unique sites:
Pr: 0.0000 0.0000 0.0000 [3 per cell]
Dy: 0.0000 0.0000 0.2490 [6 per cell]
Tm: 0.0000 0.0000 0.5000 [3 per cell]
Tl: 0.0000 0.0000 0.1271 [6 per cell]
Tl: 0.0000 0.0000 0.3775 [6 per cell]

Principal peaks in the range 2θ from 15° to 90°, low angle first:
| hkl | two_theta | Rel. int. |
| --- | --- | --- |
| 1 0 4 | 23.3 | 3 |
| 0 1 8 | 33.1 | 100 |
| 1 1 0 | 33.2 | 100 |
| 2 0 8 | 47.5 | 37 |
| 1 0 16 | 59.0 | 19 |
| 3 0 0 | 59.2 | 58 |
| 0 2 16 | 69.3 | 12 |
| 2 2 0 | 69.6 | 12 |
| 2 1 16 | 79.1 | 16 |
| 3 1 8 | 79.3 | 17 |
| 0 0 24 | 88.1 | 2 |
| 0 4 8 | 88.7 | 7 |

---

This entry pairs a crystal structure of Pr3Dy5Tm2 with its theoretical PXRD pattern. Radiation: Cu Kα (λ = 1.5418 Å). Structure: a structure optimized by DFT (PBE).
Kinematic intensities with the Lorentz-polarization factor, no thermal factor.

Atomic structure:
Cell lengths 10.7424, 16.0776, 9.4017 Å; angles 90.00, 124.60, 90.00 degrees
Space group C2/c (No. 15)
Unique sites:
Pr: 0.0000 0.2348 0.2500 [4 per cell]
Pr: 0.1427 0.1242 0.0433 [8 per cell]
Dy: 0.0000 0.0281 0.2500 [4 per cell]
Dy: 0.0000 0.2727 0.7500 [4 per cell]
Dy: 0.0000 0.4689 0.7500 [4 per cell]
Dy: 0.2369 0.3901 0.2285 [8 per cell]
Tm: 0.1518 0.3848 0.5467 [8 per cell]

Principal peaks in the range 2θ from 15° to 90°, low angle first:
| hkl | two_theta | Rel. int. |
| --- | --- | --- |
| 2 4 -2 | 30.1 | 100 |
| 2 2 1 | 30.5 | 53 |
| 2 2 -3 | 30.6 | 52 |
| 0 4 2 | 32.1 | 24 |
| 4 0 -2 | 33.4 | 52 |
| 0 6 1 | 35.5 | 12 |
| 2 6 -1 | 37.5 | 20 |
| 0 0 4 | 46.9 | 19 |
| 0 6 3 | 49.0 | 19 |
| 6 4 -4 | 57.6 | 16 |
| 2 10 -3 | 65.2 | 18 |
| 2 4 -6 | 67.2 | 12 |

---

This entry pairs a crystal structure of PrDy7Tm4 with its theoretical PXRD pattern. Radiation: Cu Kα (λ = 1.5418 Å). Structure: a structure optimized by DFT (PBE).
Kinematic intensities with the Lorentz-polarization factor, no thermal factor.

Atomic structure:
Cell lengths 6.1697, 7.1341, 8.7838 Å; angles 90.02, 103.58, 90.01 degrees
Space group P-1 (No. 2)
Unique sites:
Pr: 0.0000 0.0000 0.0000 [1 per cell]
Dy: 0.0000 0.5000 0.0000 [1 per cell]
Dy: 0.2233 0.0006 0.6646 [2 per cell]
Dy: 0.2793 0.7477 0.3365 [2 per cell]
Dy: 0.4996 0.2523 0.0004 [2 per cell]
Tm: 0.2205 0.5003 0.6648 [2 per cell]
Tm: 0.2785 0.2523 0.3359 [2 per cell]

Principal peaks in the range 2θ from 15° to 90°, low angle first:
| hkl | two_theta | Rel. int. |
| --- | --- | --- |
| 1 -2 0 | 29.1 | 37 |
| -1 2 1 | 29.8 | 17 |
| 0 0 3 | 31.4 | 51 |
| 1 2 1 | 32.2 | 100 |
| 1 2 -2 | 33.9 | 91 |
| 0 4 0 | 51.3 | 39 |
| 1 2 4 | 55.3 | 21 |
| 1 2 -5 | 58.7 | 20 |
| 3 2 2 | 61.4 | 46 |
| 4 0 0 | 61.8 | 16 |
| 4 0 -3 | 62.9 | 15 |
| 0 4 6 | 87.8 | 16 |

---

This entry pairs a crystal structure of PrDy2Tm4 with its theoretical PXRD pattern. Radiation: Cu Kα (λ = 1.5418 Å). Structure: a structure optimized by DFT (PBE).
Kinematic intensities with the Lorentz-polarization factor, no thermal factor.

Atomic structure:
Cell lengths 6.1209, 7.9129, 9.3509 Å; angles 85.09, 77.28, 82.43 degrees
Space group P1 (No. 1)
Unique sites:
Pr: 0.0000 0.0000 0.0000 [1 per cell]
Pr: 0.4275 0.1455 0.1449 [1 per cell]
Dy: 0.0682 0.8567 0.3609 [1 per cell]
Dy: 0.2138 0.5730 0.0727 [1 per cell]
Dy: 0.7126 0.5730 0.5729 [1 per cell]
Dy: 0.9276 0.1444 0.6430 [1 per cell]
Tm: 0.1425 0.7138 0.7137 [1 per cell]
Tm: 0.2840 0.4306 0.4324 [1 per cell]
Tm: 0.3587 0.2890 0.7845 [1 per cell]
Tm: 0.4985 0.0011 0.5030 [1 per cell]
Tm: 0.5721 0.8556 0.8553 [1 per cell]
Tm: 0.6399 0.7124 0.2168 [1 per cell]
Tm: 0.7871 0.4323 0.9280 [1 per cell]
Tm: 0.8542 0.2901 0.2899 [1 per cell]

Principal peaks in the range 2θ from 15° to 90°, low angle first:
| hkl | two_theta | Rel. int. |
| --- | --- | --- |
| 2 1 0 | 31.0 | 100 |
| 1 3 1 | 35.9 | 17 |
| 2 -1 2 | 36.0 | 34 |
| 3 2 3 | 51.7 | 30 |
| -3 1 1 | 51.8 | 6 |
| 3 4 1 | 61.4 | 14 |
| 4 0 2 | 61.5 | 18 |
| 3 -3 1 | 61.6 | 11 |
| 4 2 0 | 64.6 | 9 |
| 5 3 3 | 84.4 | 4 |
| 2 0 8 | 84.5 | 10 |
| 5 -2 1 | 87.3 | 7 |

---

This entry pairs a crystal structure of Pr4Dy3Tm with its theoretical PXRD pattern. Radiation: Cu Kα (λ = 1.5418 Å). Structure: a structure optimized by DFT (PBE).
Kinematic intensities with the Lorentz-polarization factor, no thermal factor.

Atomic structure:
Cell lengths 23.6849, 3.5066, 6.8596 Å; angles 90.00, 106.61, 90.00 degrees
Space group C2/m (No. 12)
Unique sites:
Pr: 0.1229 0.0000 0.3674 [4 per cell]
Pr: 0.2406 0.5000 0.2339 [4 per cell]
Dy: 0.0000 0.0000 0.5000 [2 per cell]
Dy: 0.1213 0.0000 0.8815 [4 per cell]
Tm: 0.0000 0.5000 0.0000 [2 per cell]

Principal peaks in the range 2θ from 15° to 90°, low angle first:
| hkl | two_theta | Rel. int. |
| --- | --- | --- |
| 1 1 0 | 25.7 | 36 |
| 1 1 -1 | 28.6 | 54 |
| 2 0 2 | 30.4 | 100 |
| 6 0 -2 | 30.5 | 99 |
| 8 0 0 | 31.5 | 86 |
| 5 1 0 | 32.3 | 36 |
| 5 1 -1 | 32.7 | 91 |
| 1 1 -2 | 36.9 | 34 |
| 1 1 2 | 38.6 | 28 |
| 7 1 1 | 43.1 | 32 |
| 0 2 0 | 52.1 | 35 |
| 6 2 -2 | 61.6 | 54 |

---

This entry pairs a crystal structure of PrDy9Tm2 with its theoretical PXRD pattern. Radiation: Cu Kα (λ = 1.5418 Å). Structure: a structure optimized by DFT (PBE).
Kinematic intensities with the Lorentz-polarization factor, no thermal factor.

Atomic structure:
Cell lengths 11.2103, 11.2103, 3.5079 Å; angles 90.00, 90.00, 120.00 degrees
Space group P6/mmm (No. 191)
Unique sites:
Pr: 0.0000 0.0000 0.0000 [1 per cell]
Dy: 0.0000 0.5000 0.0000 [3 per cell]
Dy: 0.1789 0.3578 0.5000 [6 per cell]
Tm: 0.3333 0.6667 0.0000 [2 per cell]

Principal peaks in the range 2θ from 15° to 90°, low angle first:
| hkl | two_theta | Rel. int. |
| --- | --- | --- |
| 1 1 1 | 30.1 | 26 |
| 2 0 1 | 31.5 | 52 |
| 2 2 0 | 31.9 | 100 |
| 2 1 1 | 35.4 | 23 |
| 3 0 1 | 37.8 | 16 |
| 4 0 1 | 45.4 | 17 |
| 4 1 1 | 50.3 | 11 |
| 4 2 1 | 56.6 | 17 |
| 6 0 0 | 56.9 | 17 |
| 2 2 2 | 62.5 | 29 |
| 4 4 0 | 66.8 | 10 |
| 6 0 2 | 80.8 | 12 |

---

This entry pairs a crystal structure of PrDy5Tm5 with its theoretical PXRD pattern. Radiation: Cu Kα (λ = 1.5418 Å). Structure: a structure optimized by DFT (PBE).
Kinematic intensities with the Lorentz-polarization factor, no thermal factor.

Atomic structure:
Cell lengths 6.0110, 6.0110, 11.6322 Å; angles 90.00, 90.00, 120.00 degrees
Space group P-6m2 (No. 187)
Unique sites:
Pr: 0.0000 0.0000 0.0000 [1 per cell]
Dy: 0.0000 0.0000 0.3235 [2 per cell]
Dy: 0.3333 0.6667 0.1565 [2 per cell]
Dy: 0.6667 0.3333 0.0000 [1 per cell]
Tm: 0.0002 0.5001 0.5000 [3 per cell]
Tm: 0.6667 0.3333 0.2656 [2 per cell]

Principal peaks in the range 2θ from 15° to 90°, low angle first:
| hkl | two_theta | Rel. int. |
| --- | --- | --- |
| 1 0 3 | 28.7 | 100 |
| 1 1 0 | 29.7 | 84 |
| 0 0 4 | 30.7 | 41 |
| 1 1 2 | 33.6 | 26 |
| 2 0 1 | 35.3 | 73 |
| 2 0 2 | 37.9 | 49 |
| 0 0 6 | 46.8 | 30 |
| 2 1 3 | 52.1 | 38 |
| 3 0 0 | 52.8 | 28 |
| 2 1 4 | 56.5 | 23 |
| 2 0 6 | 59.4 | 17 |
| 2 2 0 | 61.7 | 28 |